Diffraction record for KMg14SiO16. The powder diffractogram is calculated, not measured: it uses DFT lattice parameters and positions (PBE) and Cu Kα.
No peak broadening, texture or thermal motion is included.

Structural model:
abc: 4.4235 8.4886 8.6758
angles: 90.00 90.00 90.00
Space group Pmmm (No. 47)
Unique sites:
K  0.0000  0.0000  0.0000 [1 per cell]
Mg  0.0000  0.0000  0.5000 [1 per cell]
Mg  0.0000  0.2478  0.2563 [4 per cell]
Mg  0.0000  0.5000  0.5000 [1 per cell]
Mg  0.5000  0.0000  0.2522 [2 per cell]
Mg  0.5000  0.2480  0.0000 [2 per cell]
Mg  0.5000  0.2483  0.5000 [2 per cell]
Mg  0.5000  0.5000  0.2512 [2 per cell]
Si  0.0000  0.5000  0.0000 [1 per cell]
O  0.0000  0.0000  0.2743 [2 per cell]
O  0.0000  0.2570  0.5000 [2 per cell]
O  0.0000  0.2902  0.0000 [2 per cell]
O  0.0000  0.5000  0.2439 [2 per cell]
O  0.5000  0.0000  0.0000 [1 per cell]
O  0.5000  0.0000  0.5000 [1 per cell]
O  0.5000  0.2509  0.2483 [4 per cell]
O  0.5000  0.5000  0.0000 [1 per cell]
O  0.5000  0.5000  0.5000 [1 per cell]

Principal peaks in the range 2θ = 10–90°, low angle first:
two_theta, intensity, h k l
35.9, 36, 1 2 2
40.8, 100, 2 0 0
41.6, 92, 0 0 4
42.6, 83, 0 4 0
59.7, 54, 2 0 4
60.5, 51, 2 4 0
61.1, 48, 0 4 4
72.3, 8, 1 2 6
73.6, 9, 1 6 2
76.1, 45, 2 4 4


Diffraction record for Zn2Cl5O2. The powder diffractogram is calculated, not measured: it uses DFT lattice parameters and positions (PBE) and Cu Kα.
No peak broadening, texture or thermal motion is included.

Structural model:
abc: 6.5865 6.6143 12.1472
angles: 105.34 105.63 90.16
Space group P1 (No. 1)
Unique sites:
Zn  0.0000  0.0000  0.0000 [1 per cell]
Zn  0.0854  0.5805  0.1689 [1 per cell]
Zn  0.2293  0.7303  0.4983 [1 per cell]
Zn  0.8121  0.8165  0.6686 [1 per cell]
Cl  0.0525  0.7626  0.8343 [1 per cell]
Cl  0.1360  0.3280  0.0076 [1 per cell]
Cl  0.2099  0.9019  0.1607 [1 per cell]
Cl  0.2226  0.0651  0.4924 [1 per cell]
Cl  0.3059  0.5089  0.3352 [1 per cell]
Cl  0.4830  0.6805  0.6610 [1 per cell]
Cl  0.6599  0.0056  0.9994 [1 per cell]
Cl  0.7485  0.5758  0.1742 [1 per cell]
Cl  0.8055  0.1562  0.6725 [1 per cell]
Cl  0.9069  0.6070  0.5080 [1 per cell]
O  0.3837  0.2987  0.7961 [1 per cell]
O  0.5018  0.4390  0.8714 [1 per cell]
O  0.6705  0.0913  0.3692 [1 per cell]
O  0.7170  0.1587  0.2949 [1 per cell]

Principal peaks in the range 2θ = 10–90°, low angle first:
two_theta, intensity, h k l
14.0, 100, 0 1 -1
20.6, 27, 1 1 0
24.0, 37, 1 0 2
27.0, 27, 0 2 -1
27.1, 26, 2 0 -1
30.5, 26, -1 1 3
30.6, 35, 1 -1 3
31.0, 19, 1 0 3
36.4, 14, 1 -2 3
50.1, 25, 1 -3 4